For ErCoPO, a cell relaxed with GGA+U gives the theoretical powder X-ray diffraction pattern in this record (Cu Kα X-rays).

Atomic structure:
```
ErCoPO
1.0
3.825 0.000 0.000
0.000 3.825 0.000
0.000 0.000 7.645
Er Co P O
2 2 2 2
Direct
0.250 0.250 0.145
0.750 0.750 0.855
0.250 0.750 0.500
0.750 0.250 0.500
0.250 0.250 0.639
0.750 0.750 0.361
0.250 0.750 0.000
0.750 0.250 0.000
```

Main lines, most intense first (2θ from 10° to 80°):
- d = 2.704 Å, 33.13°, intensity 100
- d = 1.561 Å, 59.19°, intensity 58
- d = 3.420 Å, 26.05°, intensity 48
- d = 2.549 Å, 35.21°, intensity 46
- d = 1.912 Å, 47.55°, intensity 33
- d = 2.208 Å, 40.88°, intensity 20